Record 1
W6CCl18: simulated XRD peak list (copper Kα), based on a GGA-PBE-relaxed structure.

Most intense lines, 10° ≤ 2θ ≤ 80°, in order of rising 2θ:
| 2theta | d [Å] | I_rel | index |
| --- | --- | --- | --- |
| 10.86 | 8.148 | 41 | 1 0 0 |
| 11.89 | 7.446 | 100 | 1 0 1 |
| 26.66 | 3.344 | 9 | 1 0 5 |
| 29.41 | 3.037 | 15 | 2 1 1 |
| 35.05 | 2.560 | 8 | 1 1 6 |
| 38.16 | 2.358 | 12 | 2 1 5 |
| 38.27 | 2.352 | 8 | 2 2 0 |
| 40.21 | 2.243 | 10 | 3 1 1 |
| 45.46 | 1.995 | 14 | 2 1 7 |
| 48.86 | 1.864 | 13 | 2 2 6 |

Atomic structure:
Cell lengths 9.4084, 9.4084, 18.3367 Å; angles 90.00, 90.00, 120.00 degrees
Space group P-62c (No. 190)
Symmetry-distinct sites (fractional):
W: 0.1533 0.5107 0.1697 x12
C: 0.3333 0.6667 0.2500 x2
Cl: 0.0451 0.5715 0.7500 x6
Cl: 0.0853 0.3885 0.6079 x12
Cl: 0.1113 0.2855 0.2500 x6
Cl: 0.1420 0.6960 0.0832 x12

Record 2
Co3C: simulated XRD peak list (copper Kα), based on a GGA-PBE-relaxed structure.

Most intense lines, 10° ≤ 2θ ≤ 80°, in order of rising 2θ:
| 2theta | d [Å] | I_rel | index |
| --- | --- | --- | --- |
| 38.30 | 2.350 | 26 | 1 2 1 |
| 38.87 | 2.317 | 24 | 2 1 0 |
| 40.70 | 2.217 | 21 | 0 0 2 |
| 44.10 | 2.053 | 53 | 2 1 1 |
| 44.81 | 2.023 | 48 | 1 0 2 |
| 45.49 | 1.994 | 100 | 0 3 1 |
| 45.65 | 1.987 | 47 | 2 2 0 |
| 46.93 | 1.936 | 47 | 1 1 2 |
| 49.29 | 1.849 | 31 | 1 3 1 |
| 50.31 | 1.814 | 40 | 2 2 1 |

Atomic structure:
Cell lengths 4.9387, 6.6967, 4.4339 Å; angles 90.00, 90.00, 90.00 degrees
Space group Pnma (No. 62)
Symmetry-distinct sites (fractional):
Co: 0.0379 0.2500 0.1566 x4
Co: 0.1802 0.0698 0.6704 x8
C: 0.1195 0.7500 0.4465 x4

Record 3
Co2C: simulated XRD peak list (copper Kα), based on a GGA-PBE-relaxed structure.

Most intense lines, 10° ≤ 2θ ≤ 80°, in order of rising 2θ:
| 2theta | d [Å] | I_rel | index |
| --- | --- | --- | --- |
| 37.42 | 2.403 | 28 | 0 1 1 |
| 41.39 | 2.181 | 35 | 2 0 0 |
| 42.97 | 2.105 | 100 | 1 1 1 |
| 46.41 | 1.957 | 53 | 1 2 0 |
| 57.02 | 1.615 | 26 | 2 1 1 |
| 64.87 | 1.437 | 11 | 0 0 2 |
| 72.65 | 1.301 | 15 | 0 3 1 |
| 76.58 | 1.244 | 15 | 3 1 1 |
| 79.05 | 1.211 | 9 | 3 2 0 |
| 79.93 | 1.200 | 9 | 2 0 2 |

Atomic structure:
Cell lengths 4.3629, 4.3785, 2.8748 Å; angles 90.00, 90.00, 90.00 degrees
Space group Pnnm (No. 58)
Symmetry-distinct sites (fractional):
Co: 0.2409 0.1514 0.0000 x4
C: 0.0000 0.0000 0.5000 x2

Record 4
Ta6Cr3Co3C2: simulated XRD peak list (copper Kα), based on a GGA-PBE-relaxed structure.

Most intense lines, 10° ≤ 2θ ≤ 80°, in order of rising 2θ:
| 2theta | d [Å] | I_rel | index |
| --- | --- | --- | --- |
| 31.36 | 2.853 | 37 | 0 0 4 |
| 34.24 | 2.619 | 31 | 0 3 1 |
| 38.63 | 2.331 | 46 | 0 2 4 |
| 38.71 | 2.326 | 23 | 3 1 2 |
| 41.09 | 2.197 | 100 | 0 3 3 |
| 41.16 | 2.193 | 22 | 3 0 3 |
| 44.91 | 2.018 | 31 | 2 2 4 |
| 69.89 | 1.346 | 24 | 3 5 2 |
| 69.94 | 1.345 | 20 | 2 0 8 |
| 70.06 | 1.343 | 17 | 5 3 2 |

Atomic structure:
Cell lengths 8.0508, 8.0824, 11.4180 Å; angles 90.00, 90.00, 90.00 degrees
Space group Imm2 (No. 44)
Symmetry-distinct sites (fractional):
Ta: 0.0000 0.0000 0.0000 x2
Ta: 0.0000 0.0000 0.3901 x2
Ta: 0.0000 0.5000 0.1421 x2
Ta: 0.0000 0.5000 0.7498 x2
Ta: 0.1946 0.1945 0.1949 x8
Ta: 0.1959 0.3046 0.9449 x8
Cr: 0.0000 0.2488 0.5730 x4
Cr: 0.0000 0.3460 0.3693 x4
Cr: 0.2470 0.0000 0.8196 x4
Co: 0.0000 0.1520 0.7712 x4
Co: 0.1545 0.0000 0.6180 x4
Co: 0.1549 0.5000 0.5247 x4
C: 0.0000 0.2498 0.0700 x4
C: 0.2493 0.5000 0.8200 x4

Record 5
Cs2KCoC6N6: simulated XRD peak list (copper Kα), based on a GGA-PBE-relaxed structure.

Most intense lines, 10° ≤ 2θ ≤ 80°, in order of rising 2θ:
| 2theta | d [Å] | I_rel | index |
| --- | --- | --- | --- |
| 15.78 | 5.615 | 12 | 0 0 2 |
| 17.65 | 5.024 | 18 | 1 1 0 |
| 21.77 | 4.082 | 20 | 0 2 0 |
| 22.39 | 3.970 | 100 | 1 1 1 |
| 22.97 | 3.871 | 24 | 2 0 -2 |
| 31.88 | 2.807 | 39 | 0 0 4 |
| 32.87 | 2.725 | 14 | 2 2 -1 |
| 35.86 | 2.504 | 15 | 1 3 0 |
| 39.95 | 2.257 | 13 | 3 1 -1 |
| 40.07 | 2.250 | 14 | 3 1 -5 |

Atomic structure:
Cell lengths 7.7427, 8.1645, 13.6098 Å; angles 90.00, 124.46, 90.00 degrees
Space group P2_1/c (No. 14)
Symmetry-distinct sites (fractional):
Cs: 0.2306 0.0652 0.2497 x4
K: 0.0000 0.0000 0.5000 x2
Co: 0.5000 0.0000 0.0000 x2
C: 0.2701 0.1235 0.9698 x4
C: 0.3414 0.6928 0.4621 x4
C: 0.4073 0.0208 0.8400 x4
N: 0.1242 0.1996 0.9494 x4
N: 0.2410 0.6870 0.9375 x4
N: 0.3505 0.0365 0.7400 x4